Diffraction record for Tm3Zn3Cu8. The powder X-ray diffraction pattern is theoretical, not measured: it uses the GGA-PBE geometry in Alexandria and Cu Kα.

Structure:
Cell lengths 7.8126, 7.8126, 7.8126 Å; angles 148.88, 111.70, 76.94 degrees
Atoms (fractional coordinates):
1 Tm 0.0000 0.0000 0.0000
2 Tm 0.2978 0.2978 0.0000
3 Tm 0.7022 0.7022 0.0000
4 Zn 0.2926 0.5000 0.7926
5 Zn 0.5000 0.0000 0.5000
6 Zn 0.7074 0.5000 0.2074
7 Cu 0.0305 0.6711 0.3594
8 Cu 0.1516 0.8710 0.2807
9 Cu 0.3117 0.6711 0.6406
10 Cu 0.4097 0.1290 0.2807
11 Cu 0.5903 0.8710 0.7193
12 Cu 0.6883 0.3289 0.3594
13 Cu 0.8484 0.1290 0.7193
14 Cu 0.9695 0.3289 0.6406

Largest 10 diffraction maxima, in order of falling intensity, 5 to 70 degrees two-theta:
36.96 deg, d = 2.432 Å, I = 100
37.85 deg, d = 2.377 Å, I = 51
43.17 deg, d = 2.096 Å, I = 44
37.51 deg, d = 2.398 Å, I = 43
30.59 deg, d = 2.923 Å, I = 25
35.80 deg, d = 2.509 Å, I = 25
40.40 deg, d = 2.233 Å, I = 24
42.80 deg, d = 2.113 Å, I = 19
23.52 deg, d = 3.782 Å, I = 15
58.75 deg, d = 1.572 Å, I = 15